For Nb3TeSe, a structure optimized by DFT (GGA-PBE) gives the computed X-ray diffraction stick pattern in this record (Cu Kα).

Atomic structure:
```
data_Nb3TeSe
_symmetry_space_group_name_H-M 'P -1'
_symmetry_Int_Tables_number 2
_cell_length_a 5.0990
_cell_length_b 6.0120
_cell_length_c 7.0635
_cell_angle_alpha 81.18
_cell_angle_beta 78.88
_cell_angle_gamma 65.34
loop_
_symmetry_equiv_pos_as_xyz
'x,y,z'
'-x,-y,-z'
loop_
_atom_site_label
_atom_site_fract_x
_atom_site_fract_y
_atom_site_fract_z
_atom_site_occupancy
Nb1 0.2390 0.2726 0.0089 1
Nb2 0.2582 0.8718 0.7733 1
Nb3 0.2605 0.4349 0.6020 1
Te1 0.2430 0.6796 0.1824 1
Se1 0.2162 0.1317 0.3954 1
```

The 10 most intense peaks (10° ≤ 2θ ≤ 80°), in order of rising 2θ:
- (0 2 1), 34.4 deg, I 100
- (1 1 -2), 35.9 deg, I 98
- (1 -1 2), 39.0 deg, I 71
- (2 0 0), 39.3 deg, I 81
- (2 2 1), 39.4 deg, I 78
- (1 1 3), 40.1 deg, I 77
- (1 3 -1), 49.8 deg, I 25
- (-1 1 3), 51.4 deg, I 34
- (3 1 3), 63.0 deg, I 24
- (3 3 -1), 66.4 deg, I 22


For PmYIn4, a structure optimized by DFT (GGA-PBE) gives the computed X-ray diffraction stick pattern in this record (Cu Kα).

Atomic structure:
```
data_PmYIn4
_symmetry_space_group_name_H-M 'I m m 2'
_symmetry_Int_Tables_number 44
_cell_length_a 5.0232
_cell_length_b 7.1789
_cell_length_c 8.7021
_cell_angle_alpha 90.00
_cell_angle_beta 90.00
_cell_angle_gamma 90.00
loop_
_symmetry_equiv_pos_as_xyz
'x,y,z'
'-x,-y,z'
'-x,y,z'
'x,-y,z'
'x+1/2,y+1/2,z+1/2'
'-x+1/2,-y+1/2,z+1/2'
'-x+1/2,y+1/2,z+1/2'
'x+1/2,-y+1/2,z+1/2'
loop_
_atom_site_label
_atom_site_fract_x
_atom_site_fract_y
_atom_site_fract_z
_atom_site_occupancy
Pm1 0.0000 0.0000 0.0000 1
Y1 0.0000 0.5000 0.0035 1
In1 0.0000 0.2365 0.3351 1
In2 0.0000 0.2405 0.6681 1
```

The 10 most intense peaks (10° ≤ 2θ ≤ 80°), in order of rising 2θ:
- (0 2 0), 24.8 deg, I 8
- (1 2 1), 32.3 deg, I 100
- (2 0 0), 35.7 deg, I 86
- (2 2 0), 44.0 deg, I 10
- (0 2 4), 49.0 deg, I 31
- (0 4 0), 50.9 deg, I 10
- (2 2 4), 62.1 deg, I 30
- (2 4 0), 63.7 deg, I 29
- (3 0 3), 64.2 deg, I 15
- (4 0 0), 75.7 deg, I 9


For IrOs4W, a structure optimized by DFT (GGA-PBE) gives the computed X-ray diffraction stick pattern in this record (Cu Kα).

Atomic structure:
```
data_IrOs4W
_symmetry_space_group_name_H-M 'I m m a'
_symmetry_Int_Tables_number 74
_symmetry_space_group_name_Hall '-I 2b 2'
_cell_length_a 4.3372
_cell_length_b 10.9081
_cell_length_c 7.6223
_cell_angle_alpha 90.00
_cell_angle_beta 90.00
_cell_angle_gamma 90.00
loop_
_atom_site_label
_atom_site_fract_x
_atom_site_fract_y
_atom_site_fract_z
_atom_site_occupancy
Ir1 0.0000 0.2500 0.1647 1
Os1 0.0000 0.0031 0.1661 1
Os2 0.0000 0.1200 0.5120 1
W1 0.0000 0.2500 0.8412 1
```

The 10 most intense peaks (10° ≤ 2θ ≤ 80°), in order of rising 2θ:
- (0 4 2), 40.7 deg, I 43
- (1 4 1), 40.8 deg, I 95
- (1 0 3), 41.2 deg, I 100
- (2 0 0), 41.6 deg, I 49
- (0 4 4), 59.1 deg, I 17
- (2 4 2), 59.6 deg, I 29
- (1 4 5), 74.6 deg, I 13
- (2 4 4), 74.9 deg, I 17
- (3 4 1), 75.5 deg, I 16
- (3 0 3), 75.7 deg, I 17


For K2CaSO, a structure optimized by DFT (GGA-PBE) gives the computed X-ray diffraction stick pattern in this record (Cu Kα).

Atomic structure:
```
data_K2CaSO
_symmetry_space_group_name_H-M 'P 4/m m m'
_symmetry_Int_Tables_number 123
_symmetry_space_group_name_Hall '-P 4 2'
_cell_length_a 6.2076
_cell_length_b 6.2076
_cell_length_c 4.0917
_cell_angle_alpha 90.00
_cell_angle_beta 90.00
_cell_angle_gamma 90.00
loop_
_atom_site_label
_atom_site_fract_x
_atom_site_fract_y
_atom_site_fract_z
_atom_site_occupancy
K1 0.0000 0.5000 0.0000 1
Ca1 0.0000 0.0000 0.0000 1
S1 0.5000 0.5000 0.5000 1
O1 0.0000 0.0000 0.5000 1
```

The 10 most intense peaks (10° ≤ 2θ ≤ 80°), in order of rising 2θ:
- (0 0 1), 21.7 deg, I 18
- (1 0 1), 26.1 deg, I 29
- (2 0 0), 28.8 deg, I 100
- (1 1 1), 29.9 deg, I 48
- (2 0 1), 36.3 deg, I 18
- (2 1 1), 39.2 deg, I 18
- (2 2 0), 41.1 deg, I 34
- (3 1 1), 51.6 deg, I 16
- (2 0 2), 53.7 deg, I 28
- (2 2 2), 62.0 deg, I 17


For U4Ge8Os, a structure optimized by DFT (GGA-PBE) gives the computed X-ray diffraction stick pattern in this record (Cu Kα).

Atomic structure:
```
data_U4Ge8Os
_symmetry_space_group_name_H-M 'P m m 2'
_symmetry_Int_Tables_number 25
_cell_length_a 4.0373
_cell_length_b 4.1170
_cell_length_c 15.8422
_cell_angle_alpha 90.00
_cell_angle_beta 90.00
_cell_angle_gamma 90.00
loop_
_symmetry_equiv_pos_as_xyz
'x,y,z'
'-x,-y,z'
'-x,y,z'
'x,-y,z'
loop_
_atom_site_label
_atom_site_fract_x
_atom_site_fract_y
_atom_site_fract_z
_atom_site_occupancy
U1 0.0000 0.0000 0.0000 1
U2 0.0000 0.5000 0.4785 1
U3 0.5000 0.0000 0.7786 1
U4 0.5000 0.5000 0.2840 1
Ge1 0.0000 0.0000 0.3218 1
Ge2 0.0000 0.0000 0.6121 1
Ge3 0.0000 0.5000 0.1417 1
Ge4 0.0000 0.5000 0.8577 1
Ge5 0.5000 0.0000 0.1428 1
Ge6 0.5000 0.0000 0.4352 1
Ge7 0.5000 0.5000 0.6107 1
Ge8 0.5000 0.5000 0.9626 1
Os1 0.0000 0.5000 0.7045 1
```

The 10 most intense peaks (10° ≤ 2θ ≤ 80°), in order of rising 2θ:
- (1 0 2), 24.8 deg, I 21
- (1 1 1), 31.6 deg, I 27
- (1 1 3), 35.5 deg, I 100
- (0 1 5), 35.8 deg, I 28
- (1 0 6), 40.8 deg, I 17
- (0 2 0), 44.0 deg, I 23
- (2 0 0), 44.9 deg, I 21
- (2 1 5), 58.7 deg, I 14
- (2 2 0), 64.7 deg, I 15
- (1 3 3), 75.3 deg, I 19


For La2USb2N2, a structure optimized by DFT (GGA-PBE) gives the computed X-ray diffraction stick pattern in this record (Cu Kα).

Atomic structure:
```
data_La2USb2N2
_symmetry_space_group_name_H-M 'I 4/m m m'
_symmetry_Int_Tables_number 139
_symmetry_space_group_name_Hall '-I 4 2'
_cell_length_a 4.4035
_cell_length_b 4.4035
_cell_length_c 16.6954
_cell_angle_alpha 90.00
_cell_angle_beta 90.00
_cell_angle_gamma 90.00
loop_
_atom_site_label
_atom_site_fract_x
_atom_site_fract_y
_atom_site_fract_z
_atom_site_occupancy
La1 0.0000 0.0000 0.1155 1
U1 0.0000 0.0000 0.5000 1
Sb1 0.0000 0.0000 0.3154 1
N1 0.0000 0.5000 0.0000 1
```

The 10 most intense peaks (10° ≤ 2θ ≤ 80°), in order of rising 2θ:
- (0 0 2), 10.6 deg, I 12
- (1 0 1), 20.9 deg, I 9
- (1 0 3), 25.8 deg, I 10
- (1 1 0), 28.7 deg, I 83
- (1 0 5), 33.7 deg, I 100
- (2 0 0), 41.0 deg, I 37
- (2 1 5), 54.1 deg, I 52
- (2 2 0), 59.4 deg, I 12
- (3 1 0), 67.2 deg, I 15
- (3 0 5), 70.0 deg, I 12


For Rb2Ac2F7, a structure optimized by DFT (GGA-PBE) gives the computed X-ray diffraction stick pattern in this record (Cu Kα).

Atomic structure:
Unit cell a=12.5701 b=12.5701 c=12.5701 alpha=90.00 beta=90.00 gamma=90.00
Space group Fd-3m (No. 227, origin choice 2)
Symmetry-distinct sites (fractional):
Rb1 0.0000 0.0000 0.0000 (multiplicity 16)
Ac1 0.0000 0.0000 0.5000 (multiplicity 16)
F1 0.0897 0.3750 0.8750 (multiplicity 48)
F2 0.1250 0.1250 0.1250 (multiplicity 8)

The 10 most intense peaks (10° ≤ 2θ ≤ 80°), in order of rising 2θ:
- (1 1 1), 12.2 deg, I 23
- (3 1 1), 23.5 deg, I 20
- (2 2 2), 24.5 deg, I 100
- (4 0 0), 28.4 deg, I 32
- (4 4 0), 40.6 deg, I 55
- (6 2 2), 48.0 deg, I 50
- (6 6 2), 64.6 deg, I 21
- (8 4 0), 66.5 deg, I 16
- (8 4 4), 73.9 deg, I 16
- (10 2 2), 79.2 deg, I 16


For K5Rb4Hg6, a structure optimized by DFT (GGA-PBE) gives the computed X-ray diffraction stick pattern in this record (Cu Kα).

Atomic structure:
```
data_K5Rb4Hg6
_symmetry_space_group_name_H-M 'C m c 21'
_symmetry_Int_Tables_number 36
_cell_length_a 5.2728
_cell_length_b 28.3042
_cell_length_c 19.1405
_cell_angle_alpha 90.00
_cell_angle_beta 90.00
_cell_angle_gamma 90.00
loop_
_symmetry_equiv_pos_as_xyz
'x,y,z'
'-x,-y,z+1/2'
'-x,y,z'
'x,-y,z+1/2'
'x+1/2,y+1/2,z'
'-x+1/2,-y+1/2,z+1/2'
'-x+1/2,y+1/2,z'
'x+1/2,-y+1/2,z+1/2'
loop_
_atom_site_label
_atom_site_fract_x
_atom_site_fract_y
_atom_site_fract_z
_atom_site_occupancy
K1 0.0000 0.0238 0.0000 1
K2 0.0000 0.1343 0.2876 1
K3 0.0000 0.1742 0.9648 1
K4 0.0000 0.2097 0.5912 1
K5 0.0000 0.3181 0.9292 1
Rb1 0.0000 0.3061 0.2862 1
Rb2 0.0000 0.3900 0.6198 1
Rb3 0.0000 0.4280 0.1351 1
Rb4 0.0000 0.4764 0.8419 1
Hg1 0.0000 0.0161 0.1991 1
Hg2 0.0000 0.0765 0.8138 1
Hg3 0.0000 0.1003 0.4756 1
Hg4 0.0000 0.2128 0.1457 1
Hg5 0.0000 0.2861 0.7405 1
Hg6 0.0000 0.4048 0.4136 1
```

The 10 most intense peaks (10° ≤ 2θ ≤ 80°), in order of rising 2θ:
- (0 4 1), 13.3 deg, I 53
- (0 2 3), 15.2 deg, I 57
- (0 4 2), 15.6 deg, I 100
- (1 5 2), 24.9 deg, I 71
- (1 5 3), 27.0 deg, I 43
- (1 7 1), 28.2 deg, I 51
- (1 5 4), 29.7 deg, I 99
- (1 3 5), 30.4 deg, I 69
- (0 10 1), 32.0 deg, I 42
- (2 0 0), 34.0 deg, I 83